Computed powder X-ray diffraction pattern
Compound: Mg2TiO4
Radiation: CuKα
Structure: the GGA-PBE geometry in Alexandria

Structure:
```
data_Mg2TiO4
_chemical_formula_sum 'Mg32 Ti16 O64'
_cell_length_a 16.975
_cell_length_b 12.075
_cell_length_c 6.039
_cell_angle_alpha 90.00
_cell_angle_beta 90.09
_cell_angle_gamma 90.00
_symmetry_space_group_name_H-M 'C 1 2 1'
_symmetry_Int_Tables_number 5
_symmetry_space_group_name_Hall 'C 2y'
loop_
_atom_site_label
_atom_site_type_symbol
_atom_site_fract_x
_atom_site_fract_y
_atom_site_fract_z
Mg1 Mg 0.000 0.000 0.000
Mg2 Mg 0.000 0.498 0.500
Mg3 Mg 0.062 0.748 0.746
Mg4 Mg 0.063 0.248 0.744
Mg5 Mg 0.125 0.373 0.252
Mg6 Mg 0.125 0.874 0.250
Mg7 Mg 0.187 0.000 0.759
Mg8 Mg 0.188 0.499 0.755
Mg9 Mg 0.249 0.248 0.503
Ti1 Ti 0.000 0.491 0.000
Ti2 Ti 0.000 0.992 0.500
Ti3 Ti 0.125 0.125 0.247
Ti4 Ti 0.125 0.622 0.265
Ti5 Ti 0.247 0.755 0.997
O1 O 0.001 0.387 0.238
O2 O 0.001 0.888 0.264
O3 O 0.008 0.116 0.260
O4 O 0.009 0.616 0.240
O5 O 0.116 0.504 0.017
O6 O 0.118 0.004 0.486
O7 O 0.121 0.005 0.030
O8 O 0.124 0.505 0.474
O9 O 0.127 0.742 0.471
O10 O 0.128 0.243 0.472
O11 O 0.132 0.242 0.016
O12 O 0.133 0.745 0.013
O13 O 0.241 0.631 0.235
O14 O 0.242 0.132 0.243
O15 O 0.249 0.360 0.237
O16 O 0.249 0.859 0.235
```

Largest 12 diffraction maxima, in order of rising 2θ, 10 to 80 degrees two-theta:
h k l, 2θ/deg, d/Å, intensity
2 0 1, 18.03, 4.919, 69.8
2 2 -1, 23.32, 3.814, 11.1
0 0 2, 29.62, 3.016, 16.4
4 2 1, 29.70, 3.008, 14.7
2 4 -1, 34.87, 2.573, 100.0
6 0 -1, 35.02, 2.562, 51.4
0 4 2, 42.34, 2.135, 58.8
8 0 0, 42.61, 2.122, 29.3
2 4 3, 55.97, 1.643, 38.7
10 0 1, 56.30, 1.634, 18.7
0 8 0, 61.42, 1.509, 34.1
8 4 -2, 61.63, 1.505, 68.4


Computed powder X-ray diffraction pattern
Compound: Li6Ca12In
Radiation: CuKα
Structure: the GGA-PBE geometry in Alexandria

Structure:
```
data_Li6Ca12In
_chemical_formula_sum 'Li12 Ca24 In2'
_cell_length_a 10.836
_cell_length_b 10.836
_cell_length_c 10.836
_cell_angle_alpha 90.00
_cell_angle_beta 90.00
_cell_angle_gamma 90.00
_symmetry_space_group_name_H-M 'I m -3'
_symmetry_Int_Tables_number 204
_symmetry_space_group_name_Hall '-I 2 2 3'
loop_
_atom_site_label
_atom_site_type_symbol
_atom_site_fract_x
_atom_site_fract_y
_atom_site_fract_z
Li1 Li 0.000 0.374 0.500
Ca1 Ca 0.000 0.188 0.278
In1 In 0.000 0.000 0.000
```

Largest 12 diffraction maxima, in order of rising 2θ, 10 to 80 degrees two-theta:
h k l, 2θ/deg, d/Å, intensity
1 1 0, 11.55, 7.662, 76.2
2 1 1, 20.07, 4.424, 10.6
3 1 0, 26.00, 3.427, 52.9
2 2 2, 28.53, 3.128, 77.2
3 2 1, 30.88, 2.896, 100.0
4 0 0, 33.07, 2.709, 33.9
4 1 1, 35.14, 2.554, 17.8
5 0 1, 42.54, 2.125, 21.2
5 0 3, 49.02, 1.858, 27.0
5 3 2, 52.02, 1.758, 36.5
5 4 3, 60.40, 1.532, 23.9
7 2 1, 63.04, 1.475, 10.5


Computed powder X-ray diffraction pattern
Compound: Ta4FeB3
Radiation: CuKα
Structure: the GGA-PBE geometry in Alexandria

Structure:
```
data_Ta4FeB3
_chemical_formula_sum 'Ta4 Fe1 B3'
_cell_length_a 3.199
_cell_length_b 3.325
_cell_length_c 9.263
_cell_angle_alpha 90.00
_cell_angle_beta 90.00
_cell_angle_gamma 90.00
_symmetry_space_group_name_H-M 'P m m 2'
_symmetry_Int_Tables_number 25
_symmetry_space_group_name_Hall 'P 2 -2'
loop_
_atom_site_label
_atom_site_type_symbol
_atom_site_fract_x
_atom_site_fract_y
_atom_site_fract_z
Ta1 Ta 0.000 0.000 0.000
Ta2 Ta 0.000 0.500 0.471
Ta3 Ta 0.500 0.000 0.272
Ta4 Ta 0.500 0.500 0.800
Fe1 Fe 0.500 0.000 0.580
B1 B 0.000 0.000 0.736
B2 B 0.000 0.500 0.197
B3 B 0.500 0.500 0.076
```

Largest 12 diffraction maxima, in order of rising 2θ, 10 to 80 degrees two-theta:
h k l, 2θ/deg, d/Å, intensity
0 1 1, 28.52, 3.129, 38.7
1 0 2, 34.06, 2.632, 80.1
0 0 4, 38.89, 2.316, 21.8
0 1 3, 39.84, 2.263, 66.4
1 1 1, 40.31, 2.237, 100.0
1 0 4, 48.53, 1.876, 17.6
1 1 3, 49.33, 1.847, 12.2
0 2 0, 55.25, 1.663, 17.0
2 0 0, 57.62, 1.600, 15.0
1 1 5, 64.53, 1.444, 23.0
1 2 2, 66.52, 1.406, 24.0
2 1 3, 72.35, 1.306, 23.1


Computed powder X-ray diffraction pattern
Compound: Cs3CeSn2O8
Radiation: CuKα
Structure: the GGA-PBE geometry in Alexandria

Structure:
```
data_Cs3CeSn2O8
_chemical_formula_sum 'Cs3 Ce1 Sn2 O8'
_cell_length_a 6.4239
_cell_length_b 6.4239
_cell_length_c 8.5771
_cell_angle_alpha 90.00
_cell_angle_beta 90.00
_cell_angle_gamma 120.00
_symmetry_space_group_name_H-M 'P -3 m 1'
_symmetry_Int_Tables_number 164
_symmetry_space_group_name_Hall '-P 3 2"'
loop_
_atom_site_label
_atom_site_type_symbol
_atom_site_fract_x
_atom_site_fract_y
_atom_site_fract_z
Cs1 Cs 0.0000 0.0000 0.0000
Cs2 Cs 0.3333 0.6667 0.7061
Ce1 Ce 0.0000 0.0000 0.5000
Sn1 Sn 0.3333 0.6667 0.2693
O1 O 0.1651 0.3302 0.3466
O2 O 0.3333 0.6667 0.0394
```

Largest 12 diffraction maxima, in order of rising 2θ, 10 to 80 degrees two-theta:
h k l, 2θ/deg, d/Å, intensity
0 0 1, 10.31, 8.577, 10.2
0 1 2, 26.24, 3.397, 88.8
1 1 0, 27.78, 3.212, 100.0
2 0 2, 38.58, 2.334, 38.4
1 2 2, 48.20, 1.888, 34.3
3 0 0, 49.13, 1.854, 20.8
1 1 4, 51.22, 1.783, 25.3
2 2 0, 57.38, 1.606, 17.1
3 1 2, 64.14, 1.452, 14.8
0 3 4, 66.68, 1.403, 11.4
2 3 2, 78.13, 1.223, 8.6
4 1 0, 78.84, 1.214, 10.7


Computed powder X-ray diffraction pattern
Compound: Sm2ThSn3
Radiation: CuKα
Structure: the GGA-PBE geometry in Alexandria

Structure:
```
data_Sm2ThSn3
_chemical_formula_sum 'Sm4 Th2 Sn6'
_cell_length_a 4.515
_cell_length_b 6.369
_cell_length_c 13.407
_cell_angle_alpha 90.00
_cell_angle_beta 90.00
_cell_angle_gamma 90.00
_symmetry_space_group_name_H-M 'I m m m'
_symmetry_Int_Tables_number 71
_symmetry_space_group_name_Hall '-I 2 2'
loop_
_atom_site_label
_atom_site_type_symbol
_atom_site_fract_x
_atom_site_fract_y
_atom_site_fract_z
Sm1 Sm 0.000 0.000 0.166
Th1 Th 0.000 0.000 0.500
Sn1 Sn 0.000 0.500 0.168
Sn2 Sn 0.000 0.500 0.500
```

Largest 12 diffraction maxima, in order of rising 2θ, 10 to 80 degrees two-theta:
h k l, 2θ/deg, d/Å, intensity
1 0 3, 28.07, 3.179, 100.0
2 0 0, 39.93, 2.258, 13.2
1 2 3, 40.10, 2.249, 52.1
0 0 6, 40.36, 2.235, 12.8
2 2 0, 49.49, 1.842, 14.4
0 2 6, 49.85, 1.829, 14.0
2 0 6, 58.08, 1.588, 9.0
3 0 3, 65.43, 1.426, 6.3
1 4 3, 65.59, 1.423, 12.6
2 2 6, 65.70, 1.421, 12.5
3 2 3, 72.64, 1.302, 14.1
1 2 9, 73.21, 1.293, 9.2


Computed powder X-ray diffraction pattern
Compound: CaLa8Ho2
Radiation: CuKα
Structure: the GGA-PBE geometry in Alexandria

Structure:
```
data_CaLa8Ho2
_chemical_formula_sum 'Ca2 La16 Ho4'
_cell_length_a 18.882
_cell_length_b 5.273
_cell_length_c 8.286
_cell_angle_alpha 90.00
_cell_angle_beta 104.93
_cell_angle_gamma 90.00
_symmetry_space_group_name_H-M 'C 1 2/m 1'
_symmetry_Int_Tables_number 12
_symmetry_space_group_name_Hall '-C 2y'
loop_
_atom_site_label
_atom_site_type_symbol
_atom_site_fract_x
_atom_site_fract_y
_atom_site_fract_z
Ca1 Ca 0.000 0.000 0.000
La1 La 0.048 0.500 0.717
La2 La 0.094 0.000 0.462
La3 La 0.142 0.500 0.194
La4 La 0.184 0.000 0.911
Ho1 Ho 0.227 0.500 0.635
```

Largest 12 diffraction maxima, in order of rising 2θ, 10 to 80 degrees two-theta:
h k l, 2θ/deg, d/Å, intensity
1 1 2, 29.41, 3.037, 100.0
5 1 -1, 29.49, 3.028, 99.3
0 2 0, 34.00, 2.637, 34.7
6 0 1, 34.13, 2.627, 33.2
4 0 -3, 34.28, 2.616, 35.1
6 2 1, 48.98, 1.860, 35.6
4 2 -3, 49.06, 1.857, 24.0
5 3 -1, 58.07, 1.588, 29.0
7 1 3, 58.17, 1.586, 13.8
3 1 -5, 58.35, 1.582, 27.5
9 1 -4, 58.52, 1.577, 13.8
3 3 -5, 79.48, 1.206, 16.4


Number 4 is which compound? Cs3CeSn2O8